This entry pairs a crystal structure of Li4Cr3Fe2Sn3O16 with its computed PXRD pattern. Radiation: Cu Kα (weighted mean of Kα1 and Kα2). Structure: a structure optimized by DFT (GGA+U).
Neutral-atom scattering factors, no anomalous dispersion.

```
data_Li4Cr3Fe2Sn3O16
_chemical_formula_sum 'Li4 Cr3 Fe2 Sn3 O16'
_symmetry_space_group_name_H-M 'P 1'
_symmetry_Int_Tables_number 1
_cell_length_a 6.0880
_cell_length_b 6.0892
_cell_length_c 9.6307
_cell_angle_alpha 89.53
_cell_angle_beta 89.81
_cell_angle_gamma 60.04
loop_
_symmetry_equiv_pos_as_xyz
'x,y,z'
loop_
_atom_site_label
_atom_site_fract_x
_atom_site_fract_y
_atom_site_fract_z
_atom_site_occupancy
Li1 0.0000 0.0000 0.0000 1
Li2 0.0180 0.9849 0.4919 1
Li3 0.3124 0.3369 0.8950 1
Li4 0.6347 0.6846 0.3919 1
Cr1 0.1414 0.6728 0.2117 1
Cr2 0.1464 0.1801 0.2171 1
Cr3 0.3231 0.8323 0.7135 1
Fe1 0.3043 0.3462 0.4813 1
Fe2 0.6418 0.6642 0.9896 1
Sn1 0.6364 0.1809 0.2152 1
Sn2 0.8125 0.8348 0.7115 1
Sn3 0.8141 0.3405 0.7097 1
O1 0.0194 0.4965 0.3347 1
O2 0.1517 0.1667 0.5954 1
O3 0.1516 0.6724 0.5972 1
O4 0.3003 0.3491 0.1042 1
O5 0.3095 0.8266 0.1117 1
O6 0.4367 0.5021 0.3431 1
O7 0.4460 0.0565 0.3471 1
O8 0.4964 0.9627 0.8440 1
O9 0.4965 0.5242 0.8411 1
O10 0.6391 0.6764 0.5967 1
O11 0.6588 0.1661 0.5895 1
O12 0.8209 0.3301 0.0971 1
O13 0.8301 0.8287 0.1033 1
O14 0.9456 0.5193 0.8450 1
O15 0.9850 0.0010 0.3097 1
O16 0.9923 0.9970 0.8147 1
```

Main lines, low angle first (10 to 90 degrees two-theta):
| 2theta | I_rel | index |
| --- | --- | --- |
| 18.43 | 100.0 | 0 0 2 |
| 19.16 | 85.6 | 1 0 1 |
| 19.25 | 34.7 | 0 1 -1 |
| 34.77 | 29.9 | 2 1 2 |
| 34.95 | 29.0 | 1 -1 2 |
| 35.26 | 67.4 | 2 0 -1 |
| 35.36 | 33.0 | 2 2 -1 |
| 44.30 | 28.7 | 2 2 3 |
| 44.46 | 30.2 | 2 0 -3 |
| 60.84 | 48.1 | 2 4 0 |